No. 1
The following is a simulated PXRD pattern of TiTeHI2. It was derived from a cell relaxed with PBE, using Cu Ka.
Lines closer than 0.1° are merged.

Principal peaks in the range 10 to 80 degrees two-theta, in order of rising 2θ:
2θ 15.71, d = 5.642 Å, I = 55.2; 2θ 16.80, d = 5.278 Å, I = 24.7; 2θ 28.04, d = 3.182 Å, I = 100.0; 2θ 31.72, d = 2.821 Å, I = 60.4; 2θ 33.97, d = 2.639 Å, I = 25.1; 2θ 35.58, d = 2.523 Å, I = 14.2; 2θ 36.10, d = 2.488 Å, I = 14.1; 2θ 45.47, d = 1.995 Å, I = 21.7; 2θ 47.16, d = 1.927 Å, I = 39.0; 2θ 54.28, d = 1.690 Å, I = 31.4; 2θ 57.23, d = 1.610 Å, I = 13.4; 2θ 57.96, d = 1.591 Å, I = 20.8

Atomic structure:
```
TiTeHI2
1.0
5.642 0.000 0.000
0.000 5.642 0.000
0.000 0.000 5.278
Ti Te H I
1 1 1 2
direct
0.000 0.000 0.000 Ti
0.000 0.000 0.500 Te
0.500 0.500 0.500 H
0.000 0.500 0.000 I
0.500 0.000 0.000 I
```



No. 2
The following is a simulated PXRD pattern of Th2H2I7. It was derived from a cell relaxed with PBE, using Cu Ka.
Lines closer than 0.1° are merged.

Principal peaks in the range 10 to 80 degrees two-theta, in order of rising 2θ:
2θ 13.31, d = 6.653 Å, I = 93.2; 2θ 15.43, d = 5.741 Å, I = 48.1; 2θ 25.13, d = 3.543 Å, I = 43.8; 2θ 26.32, d = 3.386 Å, I = 100.0; 2θ 27.29, d = 3.268 Å, I = 29.6; 2θ 28.64, d = 3.117 Å, I = 51.4; 2θ 30.86, d = 2.898 Å, I = 73.9; 2θ 32.20, d = 2.780 Å, I = 74.7; 2θ 34.24, d = 2.619 Å, I = 38.7; 2θ 34.51, d = 2.599 Å, I = 81.0; 2θ 35.62, d = 2.521 Å, I = 26.5; 2θ 44.11, d = 2.053 Å, I = 35.3

Atomic structure:
```
Th2H2I7
1.0
10.522 -2.053 0.000
10.522 2.053 0.000
-6.992 0.000 11.467
Th H I
2 2 7
direct
0.000 0.000 0.000 Th
0.072 0.072 0.514 Th
0.039 0.039 0.634 H
0.584 0.584 0.782 H
0.367 0.367 0.927 I
0.441 0.441 0.436 I
0.489 0.489 0.797 I
0.633 0.633 0.136 I
0.653 0.653 0.743 I
0.684 0.684 0.499 I
0.997 0.997 0.229 I
```



No. 3
The following is a simulated PXRD pattern of ThHI3. It was derived from a cell relaxed with PBE, using Cu Ka.
Lines closer than 0.1° are merged.

Principal peaks in the range 10 to 80 degrees two-theta, in order of rising 2θ:
2θ 13.90, d = 6.369 Å, I = 40.8; 2θ 20.71, d = 4.290 Å, I = 100.0; 2θ 21.64, d = 4.107 Å, I = 34.9; 2θ 25.01, d = 3.560 Å, I = 76.3; 2θ 28.04, d = 3.183 Å, I = 20.2; 2θ 32.05, d = 2.793 Å, I = 21.9; 2θ 32.69, d = 2.740 Å, I = 36.7; 2θ 35.66, d = 2.518 Å, I = 19.4; 2θ 37.37, d = 2.406 Å, I = 67.9; 2θ 45.49, d = 1.994 Å, I = 43.2; 2θ 47.83, d = 1.902 Å, I = 26.5; 2θ 62.21, d = 1.492 Å, I = 20.0

Atomic structure:
```
ThHI3
1.0
14.241 0.000 0.000
0.000 14.241 0.000
0.000 0.000 4.498
Th H I
4 4 12
direct
0.120 0.120 0.000 Th
0.380 0.620 0.500 Th
0.620 0.380 0.500 Th
0.880 0.880 0.000 Th
0.108 0.108 0.500 H
0.392 0.608 0.000 H
0.608 0.392 0.000 H
0.892 0.892 0.500 H
0.101 0.325 0.000 I
0.103 0.897 0.000 I
0.175 0.601 0.500 I
0.325 0.101 0.000 I
0.397 0.397 0.500 I
0.399 0.825 0.500 I
0.601 0.175 0.500 I
0.603 0.603 0.500 I
0.675 0.899 0.000 I
0.825 0.399 0.500 I
0.897 0.103 0.000 I
0.899 0.675 0.000 I
```



No. 4
The following is a simulated PXRD pattern of Tl2H3I6. It was derived from a cell relaxed with PBE, using Cu Ka.
Lines closer than 0.1° are merged.

Principal peaks in the range 10 to 80 degrees two-theta, in order of rising 2θ:
2θ 12.06, d = 7.341 Å, I = 100.0; 2θ 21.88, d = 4.063 Å, I = 36.7; 2θ 22.01, d = 4.039 Å, I = 45.5; 2θ 22.56, d = 3.941 Å, I = 73.3; 2θ 24.41, d = 3.647 Å, I = 43.9; 2θ 25.22, d = 3.531 Å, I = 33.4; 2θ 26.13, d = 3.410 Å, I = 32.5; 2θ 27.33, d = 3.263 Å, I = 51.0; 2θ 31.57, d = 2.834 Å, I = 55.7; 2θ 32.39, d = 2.764 Å, I = 71.8; 2θ 33.49, d = 2.676 Å, I = 49.2; 2θ 37.20, d = 2.417 Å, I = 76.5

Atomic structure:
```
Tl2H3I6
1.0
7.193 -4.201 0.000
7.193 4.201 0.000
-3.813 0.000 14.681
Tl H I
4 6 12
direct
0.171 0.687 0.994 Tl
0.313 0.829 0.506 Tl
0.687 0.171 0.494 Tl
0.829 0.313 0.006 Tl
0.092 0.250 0.767 H
0.250 0.092 0.267 H
0.436 0.564 0.750 H
0.564 0.436 0.250 H
0.750 0.908 0.733 H
0.908 0.750 0.233 H
0.031 0.227 0.621 I
0.169 0.260 0.885 I
0.227 0.031 0.121 I
0.260 0.169 0.385 I
0.354 0.503 0.625 I
0.497 0.646 0.875 I
0.503 0.354 0.125 I
0.646 0.497 0.375 I
0.740 0.831 0.615 I
0.773 0.969 0.879 I
0.831 0.740 0.115 I
0.969 0.773 0.379 I
```



No. 5
The following is a simulated PXRD pattern of Tl7H12I. It was derived from a cell relaxed with PBE, using Cu Ka.
Lines closer than 0.1° are merged.

Principal peaks in the range 10 to 80 degrees two-theta, in order of rising 2θ:
2θ 16.32, d = 5.431 Å, I = 100.0; 2θ 18.21, d = 4.872 Å, I = 37.1; 2θ 18.43, d = 4.814 Å, I = 49.1; 2θ 23.73, d = 3.749 Å, I = 30.4; 2θ 27.46, d = 3.249 Å, I = 33.5; 2θ 32.54, d = 2.752 Å, I = 69.4; 2θ 32.81, d = 2.730 Å, I = 36.2; 2θ 33.09, d = 2.707 Å, I = 74.1; 2θ 33.53, d = 2.673 Å, I = 62.3; 2θ 34.13, d = 2.627 Å, I = 66.7; 2θ 34.56, d = 2.595 Å, I = 37.1; 2θ 36.02, d = 2.493 Å, I = 37.6

Atomic structure:
```
Tl7H12I
1.0
6.809 0.000 0.000
2.350 7.596 0.000
1.090 3.819 7.255
Tl H I
7 12 1
direct
0.000 0.000 0.000 Tl
0.061 0.444 0.722 Tl
0.281 0.642 0.911 Tl
0.300 0.096 0.604 Tl
0.700 0.904 0.396 Tl
0.719 0.358 0.089 Tl
0.939 0.556 0.278 Tl
0.140 0.207 0.242 H
0.211 0.816 0.381 H
0.251 0.161 0.225 H
0.257 0.808 0.464 H
0.413 0.499 0.374 H
0.487 0.562 0.319 H
0.513 0.438 0.681 H
0.587 0.501 0.626 H
0.743 0.192 0.536 H
0.749 0.839 0.775 H
0.789 0.184 0.619 H
0.860 0.793 0.758 H
0.500 0.000 0.000 I
```



No. 6
The following is a simulated PXRD pattern of Tl4H4I3. It was derived from a cell relaxed with PBE, using Cu Ka.
Lines closer than 0.1° are merged.

Principal peaks in the range 10 to 80 degrees two-theta, in order of rising 2θ:
2θ 21.80, d = 4.077 Å, I = 54.4; 2θ 22.28, d = 3.989 Å, I = 100.0; 2θ 27.66, d = 3.225 Å, I = 66.4; 2θ 29.55, d = 3.023 Å, I = 30.1; 2θ 30.16, d = 2.963 Å, I = 93.8; 2θ 30.44, d = 2.937 Å, I = 59.8; 2θ 37.75, d = 2.383 Å, I = 27.2; 2θ 40.77, d = 2.213 Å, I = 83.3; 2θ 41.58, d = 2.172 Å, I = 53.0; 2θ 52.11, d = 1.755 Å, I = 23.2; 2θ 61.20, d = 1.514 Å, I = 25.0; 2θ 61.56, d = 1.506 Å, I = 28.2

Atomic structure:
```
Tl4H4I3
1.0
8.877 -2.937 0.000
8.877 2.937 0.000
-2.776 0.000 6.450
Tl H I
4 4 3
direct
0.000 0.000 0.224 Tl
0.000 0.000 0.776 Tl
0.281 0.281 0.781 Tl
0.719 0.719 0.219 Tl
0.102 0.102 0.389 H
0.103 0.103 0.817 H
0.897 0.897 0.183 H
0.898 0.898 0.611 H
0.322 0.322 0.322 I
0.500 0.500 0.000 I
0.678 0.678 0.678 I
```



No. 7
The following is a simulated PXRD pattern of TlH4I3. It was derived from a cell relaxed with PBE, using Cu Ka.
Lines closer than 0.1° are merged.

Principal peaks in the range 10 to 80 degrees two-theta, in order of rising 2θ:
2θ 11.69, d = 7.573 Å, I = 40.7; 2θ 23.48, d = 3.789 Å, I = 80.1; 2θ 24.30, d = 3.663 Å, I = 76.1; 2θ 25.80, d = 3.453 Å, I = 100.0; 2θ 31.98, d = 2.798 Å, I = 34.1; 2θ 34.04, d = 2.634 Å, I = 61.5; 2θ 35.93, d = 2.499 Å, I = 20.0; 2θ 38.11, d = 2.361 Å, I = 44.4; 2θ 38.56, d = 2.335 Å, I = 18.2; 2θ 43.70, d = 2.072 Å, I = 29.2; 2θ 52.44, d = 1.745 Å, I = 17.7; 2θ 55.74, d = 1.649 Å, I = 15.8

Atomic structure:
```
TlH4I3
1.0
3.991 -3.663 0.000
3.991 3.663 0.000
-2.508 0.000 7.573
Tl H I
1 4 3
direct
0.000 0.000 0.000 Tl
0.001 0.001 0.744 H
0.491 0.491 0.447 H
0.509 0.509 0.553 H
0.999 0.999 0.256 H
0.000 0.000 0.500 I
0.455 0.455 0.171 I
0.545 0.545 0.829 I
```



No. 8
The following is a simulated PXRD pattern of Tl5H2I4. It was derived from a cell relaxed with PBE, using Cu Ka.
Lines closer than 0.1° are merged.

Principal peaks in the range 10 to 80 degrees two-theta, in order of rising 2θ:
2θ 19.55, d = 4.542 Å, I = 23.0; 2θ 20.31, d = 4.373 Å, I = 30.1; 2θ 23.19, d = 3.836 Å, I = 54.6; 2θ 27.73, d = 3.217 Å, I = 95.0; 2θ 28.34, d = 3.149 Å, I = 100.0; 2θ 29.39, d = 3.039 Å, I = 38.3; 2θ 30.51, d = 2.930 Å, I = 28.8; 2θ 35.56, d = 2.524 Å, I = 33.3; 2θ 35.97, d = 2.497 Å, I = 28.1; 2θ 38.32, d = 2.349 Å, I = 29.6; 2θ 39.53, d = 2.280 Å, I = 21.0; 2θ 39.71, d = 2.270 Å, I = 32.0

Atomic structure:
```
Tl5H2I4
1.0
9.240 0.000 0.000
0.000 4.540 0.000
-1.505 0.000 9.121
Tl H I
5 2 4
direct
0.000 0.000 0.000 Tl
0.180 0.000 0.510 Tl
0.493 0.000 0.820 Tl
0.507 0.000 0.180 Tl
0.820 0.000 0.490 Tl
0.393 0.000 0.607 H
0.607 0.000 0.393 H
0.205 0.500 0.798 I
0.254 0.500 0.256 I
0.746 0.500 0.744 I
0.795 0.500 0.202 I
```



No. 9
The following is a simulated PXRD pattern of U2H2I7. It was derived from a cell relaxed with PBE, using Cu Ka.
Lines closer than 0.1° are merged.

Principal peaks in the range 10 to 80 degrees two-theta, in order of rising 2θ:
2θ 10.16, d = 8.708 Å, I = 100.0; 2θ 13.16, d = 6.726 Å, I = 39.4; 2θ 25.17, d = 3.538 Å, I = 34.7; 2θ 26.88, d = 3.317 Å, I = 34.8; 2θ 30.09, d = 2.970 Å, I = 25.2; 2θ 30.86, d = 2.897 Å, I = 38.2; 2θ 31.47, d = 2.843 Å, I = 23.4; 2θ 33.71, d = 2.659 Å, I = 15.5; 2θ 35.08, d = 2.558 Å, I = 29.3; 2θ 36.25, d = 2.478 Å, I = 14.2; 2θ 36.67, d = 2.450 Å, I = 23.1; 2θ 44.84, d = 2.021 Å, I = 14.2

Atomic structure:
```
U2H2I7
1.0
10.961 -2.021 0.000
10.961 2.021 0.000
-8.171 0.000 10.688
U H I
2 2 7
direct
0.000 0.000 0.000 U
0.072 0.072 0.634 U
0.587 0.587 0.379 H
0.663 0.663 0.977 H
0.363 0.363 0.845 I
0.443 0.443 0.445 I
0.505 0.505 0.197 I
0.643 0.643 0.103 I
0.658 0.658 0.558 I
0.689 0.689 0.867 I
0.990 0.990 0.758 I
```



No. 10
The following is a simulated PXRD pattern of VH2I6. It was derived from a cell relaxed with PBE, using Cu Ka.
Lines closer than 0.1° are merged.

Principal peaks in the range 10 to 80 degrees two-theta, in order of rising 2θ:
2θ 11.23, d = 7.878 Å, I = 31.3; 2θ 19.49, d = 4.555 Å, I = 38.1; 2θ 22.57, d = 3.939 Å, I = 100.0; 2θ 23.64, d = 3.764 Å, I = 78.9; 2θ 26.00, d = 3.427 Å, I = 87.3; 2θ 26.48, d = 3.365 Å, I = 79.1; 2θ 28.13, d = 3.173 Å, I = 76.4; 2θ 29.03, d = 3.076 Å, I = 78.2; 2θ 32.52, d = 2.754 Å, I = 74.5; 2θ 42.60, d = 2.122 Å, I = 31.3; 2θ 44.71, d = 2.027 Å, I = 25.2; 2θ 45.78, d = 1.982 Å, I = 30.1

Atomic structure:
```
VH2I6
1.0
8.456 -6.776 0.000
8.456 6.776 0.000
-2.473 0.000 6.345
V H I
2 4 12
direct
0.093 0.907 0.750 V
0.907 0.093 0.250 V
0.337 0.380 0.813 H
0.380 0.337 0.313 H
0.620 0.663 0.687 H
0.663 0.620 0.187 H
0.024 0.162 0.000 I
0.099 0.675 0.510 I
0.162 0.024 0.500 I
0.264 0.462 0.006 I
0.325 0.901 0.990 I
0.462 0.264 0.506 I
0.538 0.736 0.494 I
0.675 0.099 0.010 I
0.736 0.538 0.994 I
0.838 0.976 0.500 I
0.901 0.325 0.490 I
0.976 0.838 0.000 I
```



No. 11
The following is a simulated PXRD pattern of In4H. It was derived from a cell relaxed with PBE, using Cu Ka.
Lines closer than 0.1° are merged.

Principal peaks in the range 10 to 80 degrees two-theta, in order of rising 2θ:
2θ 32.20, d = 2.780 Å, I = 100.0; 2θ 37.36, d = 2.407 Å, I = 50.6; 2θ 53.86, d = 1.702 Å, I = 34.0; 2θ 64.16, d = 1.452 Å, I = 39.1; 2θ 67.38, d = 1.390 Å, I = 11.3; 2θ 79.66, d = 1.204 Å, I = 5.3

Atomic structure:
```
In4H
1.0
4.814 0.000 0.000
0.000 4.814 0.000
0.000 0.000 4.814
In H
4 1
direct
0.000 0.000 0.000 In
0.000 0.500 0.500 In
0.500 0.000 0.500 In
0.500 0.500 0.000 In
0.500 0.500 0.500 H
```



No. 12
The following is a simulated PXRD pattern of In8H. It was derived from a cell relaxed with PBE, using Cu Ka.
Lines closer than 0.1° are merged.

Principal peaks in the range 10 to 80 degrees two-theta, in order of rising 2θ:
2θ 30.76, d = 2.907 Å, I = 22.8; 2θ 31.36, d = 2.853 Å, I = 28.6; 2θ 34.63, d = 2.590 Å, I = 100.0; 2θ 44.50, d = 2.036 Å, I = 16.2; 2θ 54.68, d = 1.678 Å, I = 17.4; 2θ 57.94, d = 1.592 Å, I = 21.0; 2θ 64.06, d = 1.454 Å, I = 2.6; 2θ 64.40, d = 1.447 Å, I = 20.5; 2θ 65.43, d = 1.426 Å, I = 3.1; 2θ 66.36, d = 1.409 Å, I = 14.2; 2θ 73.06, d = 1.295 Å, I = 3.5; 2θ 74.03, d = 1.281 Å, I = 3.2

Atomic structure:
```
In8H
1.0
6.714 0.000 0.000
-3.357 5.814 0.000
0.000 0.000 5.706
In H
8 1
direct
0.168 0.337 0.242 In
0.168 0.832 0.242 In
0.333 0.667 0.734 In
0.337 0.168 0.758 In
0.663 0.832 0.242 In
0.667 0.333 0.266 In
0.832 0.168 0.758 In
0.832 0.663 0.758 In
0.000 0.000 0.500 H
```